For Tb3Pm6Dy, a structure optimized by DFT (PBE) gives the theoretical X-ray powder pattern in this record (λ = 1.5418 Å (Cu Kα)).
No peak broadening, texture or thermal motion is included.

Cell and atoms:
a = 11.084 Å, b = 11.084 Å, c = 6.367 Å
α = 90.00°, β = 90.00°, γ = 120.64°
Sites, in units of the cell vectors:
Tb: 0.115 0.885 0.500
Tb: 0.214 0.444 0.117
Tb: 0.444 0.214 0.617
Tb: 0.556 0.786 0.117
Tb: 0.786 0.556 0.617
Tb: 0.885 0.115 0.000
Pm: 0.025 0.444 0.715
Pm: 0.127 0.211 0.531
Pm: 0.211 0.127 0.031
Pm: 0.221 0.779 0.933
Pm: 0.444 0.025 0.215
Pm: 0.463 0.537 0.700
Pm: 0.537 0.463 0.200
Pm: 0.556 0.975 0.715
Pm: 0.779 0.221 0.433
Pm: 0.789 0.873 0.531
Pm: 0.873 0.789 0.031
Pm: 0.975 0.556 0.215
Dy: 0.304 0.696 0.465
Dy: 0.696 0.304 0.965

Most intense lines, 5 to 70 degrees two-theta, in order of rising 2θ:
Position (°2θ)	Rel. int.
28.1	35
28.3	65
28.5	42
31.2	100
31.5	53
33.8	31
33.9	56
49.8	28